Simulated X-ray powder pattern
Compound: TcAg2HgSeS3
Radiation: Cu Kα (weighted mean of Kα1 and Kα2)
Structure: a PBE-relaxed structure

The 12 most intense peaks (10° ≤ 2θ ≤ 90°), by angle:
26.61°, I 100.0; 26.83°, I 35.4; 29.22°, I 28.7; 34.01°, I 11.0; 41.66°, I 15.3; 41.93°, I 14.2; 45.29°, I 25.3; 45.57°, I 25.5; 50.11°, I 9.8; 50.23°, I 24.5; 50.49°, I 9.5; 60.59°, I 9.7

Cell and atoms:
```
TcAg2HgSeS3
1.0
8.6189 0.0000 0.0000
0.0000 8.6729 0.0000
-4.2654 0.0000 5.2727
Tc Ag Hg Se S
2 4 2 2 6
direct
0.0000 0.0000 0.0000
0.5000 0.5000 0.0000
0.0208 0.2373 0.5270
0.0208 0.7627 0.5270
0.5208 0.2627 0.5270
0.5208 0.7373 0.5270
0.0216 0.5000 0.0250
0.5216 0.0000 0.0250
0.3530 0.0000 0.2663
0.8530 0.5000 0.2663
0.3901 0.2840 0.7712
0.3901 0.7160 0.7712
0.4159 0.5000 0.2505
0.8901 0.2160 0.7712
0.8901 0.7840 0.7712
0.9159 0.0000 0.2505
```

***

Simulated X-ray powder pattern
Compound: Gd6Co5
Radiation: Cu Kα (weighted mean of Kα1 and Kα2)
Structure: a PBE-relaxed structure

The 12 most intense peaks (10° ≤ 2θ ≤ 90°), by angle:
32.31°, I 100.0; 32.83°, I 38.4; 34.85°, I 28.8; 38.39°, I 11.8; 42.09°, I 22.1; 43.56°, I 17.0; 54.04°, I 9.5; 55.60°, I 12.0; 58.60°, I 7.1; 62.18°, I 8.0; 63.12°, I 23.0; 72.87°, I 9.5

Cell and atoms:
```
Gd6Co5
1.0
11.3591 0.0000 0.0000
-5.6796 9.8373 0.0000
0.0000 0.0000 4.1553
Gd Co
12 10
direct
0.0240 0.7745 0.2500
0.1361 0.5162 0.2500
0.2255 0.2494 0.2500
0.2494 0.0240 0.7500
0.3801 0.8639 0.2500
0.4838 0.6199 0.2500
0.5162 0.3801 0.7500
0.6199 0.1361 0.7500
0.7506 0.9760 0.2500
0.7745 0.7506 0.7500
0.8639 0.4838 0.7500
0.9760 0.2255 0.7500
0.0000 0.0000 0.0000
0.0000 0.0000 0.5000
0.1607 0.7180 0.7500
0.2820 0.4426 0.7500
0.3333 0.6667 0.7500
0.4426 0.1607 0.2500
0.5574 0.8393 0.7500
0.6667 0.3333 0.2500
0.7180 0.5574 0.2500
0.8393 0.2820 0.2500
```

***

Simulated X-ray powder pattern
Compound: Cu5Si2S7
Radiation: Cu Kα (weighted mean of Kα1 and Kα2)
Structure: a PBE-relaxed structure

The 12 most intense peaks (10° ≤ 2θ ≤ 90°), by angle:
28.14°, I 100.0; 29.33°, I 58.0; 31.64°, I 35.3; 31.84°, I 30.4; 31.95°, I 32.1; 49.73°, I 24.9; 49.83°, I 47.2; 53.29°, I 25.5; 53.62°, I 24.7; 53.88°, I 24.9; 58.69°, I 13.7; 59.06°, I 13.6

Cell and atoms:
```
Cu5Si2S7
1.0
8.1545 -3.1678 0.0000
8.1545 3.1678 0.0000
-0.3791 0.0000 9.5860
Cu Si S
10 4 14
direct
0.1202 0.4504 0.4275
0.1435 0.8565 0.5000
0.2572 0.6065 0.1473
0.3980 0.7430 0.8508
0.4504 0.1202 0.9275
0.5351 0.8950 0.5629
0.6065 0.2572 0.6473
0.7430 0.3980 0.3508
0.8565 0.1435 0.0000
0.8950 0.5351 0.0629
0.0318 0.6885 0.7916
0.3100 0.9790 0.2245
0.6885 0.0318 0.2916
0.9790 0.3100 0.7245
0.0262 0.3349 0.2649
0.0407 0.7437 0.3408
0.1602 0.4981 0.9784
0.2301 0.8671 0.0656
0.2867 0.6342 0.6968
0.3349 0.0262 0.7649
0.4392 0.7764 0.4064
0.4981 0.1602 0.4784
0.5846 0.9197 0.1365
0.6342 0.2867 0.1968
0.7437 0.0407 0.8408
0.7764 0.4392 0.9064
0.8671 0.2301 0.5656
0.9197 0.5846 0.6365
```

***

Simulated X-ray powder pattern
Compound: ScNbN2O
Radiation: Cu Kα (weighted mean of Kα1 and Kα2)
Structure: a PBE-relaxed structure

The 12 most intense peaks (10° ≤ 2θ ≤ 90°), by angle:
22.93°, I 38.4; 32.06°, I 26.0; 32.63°, I 100.0; 33.25°, I 14.1; 46.76°, I 11.0; 46.86°, I 23.3; 52.74°, I 15.7; 57.51°, I 17.8; 57.82°, I 14.3; 58.58°, I 9.9; 59.02°, I 19.5; 68.36°, I 8.8

Cell and atoms:
```
ScNbN2O
1.0
-3.8856 2.6943 2.7916
3.8856 -2.6943 2.7916
3.8856 2.6943 -2.7916
Sc Nb N O
2 2 4 2
direct
0.0469 0.2500 0.2969
0.9531 0.7500 0.7031
0.4690 0.4690 0.0000
0.4690 0.9690 0.5000
0.5089 0.3296 0.3430
0.5089 0.6660 0.6793
0.9867 0.1660 0.6570
0.9867 0.8296 0.3207
0.3040 0.7103 0.0937
0.6166 0.2103 0.9063
```

***

Simulated X-ray powder pattern
Compound: GaCu9
Radiation: Cu Kα (weighted mean of Kα1 and Kα2)
Structure: a PBE-relaxed structure

The 12 most intense peaks (10° ≤ 2θ ≤ 90°), by angle:
39.21°, I 7.6; 41.24°, I 14.1; 43.35°, I 81.5; 43.59°, I 100.0; 43.88°, I 7.2; 45.51°, I 7.6; 48.46°, I 8.6; 50.33°, I 51.0; 51.22°, I 30.2; 74.26°, I 9.1; 74.64°, I 28.5; 89.61°, I 17.5

Cell and atoms:
```
GaCu9
1.0
2.5545 0.0000 0.0000
0.0000 3.5682 0.0000
0.0000 0.0000 36.0317
Ga Cu
2 18
direct
0.2500 0.2500 0.1561
0.7500 0.7500 0.8439
0.2500 0.2500 0.2322
0.2500 0.2500 0.3036
0.2500 0.2500 0.3752
0.2500 0.2500 0.4465
0.2500 0.2500 0.5177
0.2500 0.2500 0.5890
0.2500 0.2500 0.6604
0.2500 0.2500 0.7321
0.2500 0.2500 0.8048
0.7500 0.7500 0.1952
0.7500 0.7500 0.2679
0.7500 0.7500 0.3396
0.7500 0.7500 0.4110
0.7500 0.7500 0.4823
0.7500 0.7500 0.5535
0.7500 0.7500 0.6248
0.7500 0.7500 0.6964
0.7500 0.7500 0.7678
```

***

Simulated X-ray powder pattern
Compound: Zn4H10O9
Radiation: Cu Kα (weighted mean of Kα1 and Kα2)
Structure: a PBE-relaxed structure

The 12 most intense peaks (10° ≤ 2θ ≤ 90°), by angle:
15.12°, I 26.7; 29.45°, I 100.0; 30.51°, I 52.1; 38.34°, I 14.7; 39.92°, I 81.4; 40.52°, I 12.4; 43.69°, I 18.5; 51.56°, I 32.7; 53.56°, I 28.0; 56.63°, I 14.0; 63.34°, I 12.1; 69.41°, I 27.5

Cell and atoms:
```
Zn4H10O9
1.0
8.2875 0.0000 0.0000
0.0000 8.2875 0.0000
0.0000 0.0000 4.4527
Zn H O
8 20 18
direct
0.0472 0.7500 0.0430
0.2500 0.5472 0.4570
0.2500 0.9528 0.4570
0.4528 0.7500 0.0430
0.5472 0.2500 0.9570
0.7500 0.0472 0.5430
0.7500 0.4528 0.5430
0.9528 0.2500 0.9570
0.0278 0.1463 0.4221
0.0278 0.3537 0.4221
0.1463 0.0278 0.9221
0.1463 0.4722 0.9221
0.2500 0.2500 0.0582
0.2500 0.2500 0.5582
0.3537 0.0278 0.9221
0.3537 0.4722 0.9221
0.4722 0.1463 0.4221
0.4722 0.3537 0.4221
0.5278 0.6463 0.5779
0.5278 0.8537 0.5779
0.6463 0.5278 0.0779
0.6463 0.9722 0.0779
0.7500 0.7500 0.4418
0.7500 0.7500 0.9418
0.8537 0.5278 0.0779
0.8537 0.9722 0.0779
0.9722 0.6463 0.5779
0.9722 0.8537 0.5779
0.0689 0.5689 0.7500
0.0689 0.9311 0.7500
0.0963 0.2500 0.5604
0.2500 0.0963 0.0604
0.2500 0.4037 0.0604
0.2500 0.7500 0.2500
0.4037 0.2500 0.5604
0.4311 0.5689 0.7500
0.4311 0.9311 0.7500
0.5689 0.0689 0.2500
0.5689 0.4311 0.2500
0.5963 0.7500 0.4396
0.7500 0.2500 0.7500
0.7500 0.5963 0.9396
0.7500 0.9037 0.9396
0.9037 0.7500 0.4396
0.9311 0.0689 0.2500
0.9311 0.4311 0.2500
```

***

Simulated X-ray powder pattern
Compound: La2Nd2BBr5
Radiation: Cu Kα (weighted mean of Kα1 and Kα2)
Structure: a PBE-relaxed structure

The 12 most intense peaks (10° ≤ 2θ ≤ 90°), by angle:
10.74°, I 28.1; 26.99°, I 18.2; 29.40°, I 50.4; 29.66°, I 21.1; 30.29°, I 100.0; 32.79°, I 20.3; 33.96°, I 9.8; 36.29°, I 11.6; 42.63°, I 47.0; 42.82°, I 34.2; 44.03°, I 19.1; 53.84°, I 20.9

Cell and atoms:
```
La2Nd2BBr5
1.0
9.3715 -2.0567 0.0000
9.3715 2.0567 0.0000
-1.9717 0.0000 8.2399
La Nd B Br
2 2 1 5
direct
0.1476 0.1476 0.0817
0.8524 0.8524 0.9183
0.4990 0.4990 0.2124
0.5010 0.5010 0.7876
0.0000 0.0000 0.0000
0.0000 0.0000 0.5000
0.3311 0.3311 0.1747
0.3370 0.3370 0.6510
0.6630 0.6630 0.3490
0.6689 0.6689 0.8253
```

***

Simulated X-ray powder pattern
Compound: Y2Cu3Ag
Radiation: Cu Kα (weighted mean of Kα1 and Kα2)
Structure: a PBE-relaxed structure

The 12 most intense peaks (10° ≤ 2θ ≤ 90°), by angle:
27.05°, I 3.6; 32.25°, I 3.7; 35.79°, I 68.9; 39.57°, I 100.0; 51.51°, I 23.3; 62.54°, I 5.5; 66.84°, I 39.2; 74.20°, I 12.8; 75.83°, I 6.9; 85.21°, I 8.9; 86.79°, I 9.7; 89.10°, I 8.9

Cell and atoms:
```
Y2Cu3Ag
1.0
3.5485 0.0000 0.0000
0.0000 3.5485 0.0000
0.0000 0.0000 8.9107
Y Cu Ag
2 3 1
direct
0.0000 0.0000 0.0000
0.5000 0.5000 0.4813
0.0000 0.0000 0.3134
0.5000 0.5000 0.1656
0.5000 0.5000 0.8271
0.0000 0.0000 0.6721
```

***

Simulated X-ray powder pattern
Compound: DyYB4C
Radiation: Cu Kα (weighted mean of Kα1 and Kα2)
Structure: a PBE-relaxed structure

The 12 most intense peaks (10° ≤ 2θ ≤ 90°), by angle:
17.88°, I 25.2; 23.52°, I 49.7; 27.15°, I 53.4; 30.49°, I 68.1; 36.22°, I 53.9; 38.87°, I 100.0; 50.10°, I 22.3; 56.04°, I 34.7; 56.13°, I 21.8; 58.04°, I 19.6; 68.67°, I 16.3; 83.44°, I 15.8

Cell and atoms:
```
DyYB4C
1.0
3.2761 0.0000 0.0000
0.0000 6.5697 0.0000
0.0000 0.0000 7.5646
Dy Y B C
2 2 8 2
direct
0.0000 0.0000 0.0000
0.5000 0.5000 0.5000
0.0000 0.0000 0.5312
0.5000 0.5000 0.0312
0.0000 0.2727 0.2657
0.0000 0.3655 0.7656
0.0000 0.6345 0.7656
0.0000 0.7273 0.2657
0.5000 0.1345 0.2656
0.5000 0.2273 0.7657
0.5000 0.7727 0.7657
0.5000 0.8655 0.2656
0.0000 0.5000 0.2658
0.5000 0.0000 0.7658
```

***

Simulated X-ray powder pattern
Compound: Pr2P3Pd6
Radiation: Cu Kα (weighted mean of Kα1 and Kα2)
Structure: a PBE-relaxed structure

The 12 most intense peaks (10° ≤ 2θ ≤ 90°), by angle:
27.82°, I 14.1; 32.24°, I 100.0; 35.22°, I 9.6; 37.09°, I 23.4; 42.28°, I 29.2; 43.09°, I 72.6; 58.13°, I 12.5; 61.96°, I 18.5; 67.45°, I 8.9; 71.00°, I 27.2; 72.15°, I 9.5; 79.00°, I 11.1

Cell and atoms:
```
Pr2P3Pd6
1.0
7.4048 0.0000 0.0000
-3.7024 6.4127 0.0000
0.0000 0.0000 4.1987
Pr P Pd
2 3 6
direct
0.3333 0.6667 0.0000
0.6667 0.3333 0.0000
0.0000 0.6368 0.5000
0.3632 0.3632 0.5000
0.6368 0.0000 0.5000
0.0000 0.3113 0.5000
0.0000 0.7885 0.0000
0.2115 0.2115 0.0000
0.3113 0.0000 0.5000
0.6887 0.6887 0.5000
0.7885 0.0000 0.0000
```

***

Simulated X-ray powder pattern
Compound: PPd3Pt
Radiation: Cu Kα (weighted mean of Kα1 and Kα2)
Structure: a PBE-relaxed structure

The 12 most intense peaks (10° ≤ 2θ ≤ 90°), by angle:
16.47°, I 12.0; 33.29°, I 69.0; 36.20°, I 32.7; 42.32°, I 100.0; 45.79°, I 24.5; 45.99°, I 24.2; 59.73°, I 14.8; 59.95°, I 7.8; 66.92°, I 15.6; 75.06°, I 11.2; 75.18°, I 8.9; 82.31°, I 14.3

Cell and atoms:
```
PPd3Pt
1.0
3.9472 -3.9628 0.0000
3.9472 3.9628 0.0000
-1.9838 0.0000 4.9619
P Pd Pt
2 6 2
direct
0.2490 0.2490 0.0075
0.7510 0.7510 0.9925
0.0706 0.5698 0.2825
0.4267 0.4267 0.7157
0.4302 0.9294 0.7175
0.5698 0.0706 0.2825
0.5733 0.5733 0.2843
0.9294 0.4302 0.7175
0.0686 0.0686 0.2865
0.9314 0.9314 0.7135
```